Record 1
# La5Pr12Nd
Computed powder diffraction line list, Cu Kα (λ = 1.5418 Å). Input: the PBE geometry in Alexandria.
Neutral-atom scattering factors, no anomalous dispersion.

Cell lengths 11.148, 11.148, 5.272 Å; angles 90.00, 90.00, 90.01 degrees
Element x y z (fractional)
La1 0.000 0.000 0.000
La2 0.166 0.834 0.500
La3 0.333 0.667 0.000
La4 0.667 0.333 0.000
La5 0.834 0.166 0.500
Pr1 0.001 0.334 0.000
Pr2 0.167 0.167 0.500
Pr3 0.167 0.500 0.500
Pr4 0.333 0.333 0.000
Pr5 0.334 0.001 0.000
Pr6 0.500 0.167 0.500
Pr7 0.500 0.833 0.500
Pr8 0.666 0.999 0.000
Pr9 0.667 0.667 0.000
Pr10 0.833 0.500 0.500
Pr11 0.833 0.833 0.500
Pr12 0.999 0.666 0.000
Nd1 0.500 0.500 0.500

The 10 most intense peaks (2θ = 10–90°), most intense first:
| Position (°2θ) | I (rel.) |
| --- | --- |
| 29.41 | 100 |
| 48.97 | 37 |
| 34.12 | 34 |
| 58.21 | 29 |
| 34.01 | 17 |
| 58.06 | 15 |
| 61.01 | 13 |
| 79.35 | 12 |
| 81.96 | 11 |
| 79.48 | 6 |

Record 2
# La2DyPa2Rh5
Computed powder diffraction line list, Cu Kα (λ = 1.5418 Å). Input: the PBE geometry in Alexandria.
Neutral-atom scattering factors, no anomalous dispersion.

Cell lengths 11.098, 11.098, 3.590 Å; angles 90.00, 90.00, 90.00 degrees
Element x y z (fractional)
La1 0.170 0.330 0.000
La2 0.330 0.830 0.000
La3 0.670 0.170 0.000
La4 0.830 0.670 0.000
Dy1 0.000 0.000 0.000
Dy2 0.500 0.500 0.000
Pa1 0.140 0.640 0.000
Pa2 0.360 0.140 0.000
Pa3 0.640 0.860 0.000
Pa4 0.860 0.360 0.000
Rh1 0.000 0.500 0.500
Rh2 0.058 0.800 0.500
Rh3 0.200 0.058 0.500
Rh4 0.300 0.558 0.500
Rh5 0.442 0.300 0.500
Rh6 0.500 0.000 0.500
Rh7 0.558 0.700 0.500
Rh8 0.700 0.442 0.500
Rh9 0.800 0.942 0.500
Rh10 0.942 0.200 0.500

The 10 most intense peaks (2θ = 10–90°), most intense first:
| Position (°2θ) | I (rel.) |
| --- | --- |
| 35.78 | 100 |
| 34.28 | 24 |
| 38.52 | 24 |
| 17.87 | 23 |
| 41.12 | 19 |
| 25.38 | 19 |
| 33.84 | 16 |
| 36.20 | 15 |
| 50.86 | 15 |
| 33.29 | 13 |

Record 3
# Pa2Ga3Ni
Computed powder diffraction line list, Cu Kα (λ = 1.5418 Å). Input: the PBE geometry in Alexandria.
Neutral-atom scattering factors, no anomalous dispersion.

Cell lengths 8.888, 8.386, 5.570 Å; angles 76.15, 66.36, 37.48 degrees
Element x y z (fractional)
Pa1 0.241 0.759 0.759
Pa2 0.250 0.250 0.250
Pa3 0.750 0.750 0.750
Pa4 0.759 0.241 0.241
Ga1 0.161 0.669 0.331
Ga2 0.329 0.329 0.671
Ga3 0.331 0.839 0.161
Ga4 0.669 0.161 0.839
Ga5 0.671 0.671 0.329
Ga6 0.839 0.331 0.669
Ni1 0.166 0.166 0.834
Ni2 0.834 0.834 0.166

The 10 most intense peaks (2θ = 10–90°), most intense first:
| Position (°2θ) | I (rel.) |
| --- | --- |
| 35.55 | 100 |
| 23.09 | 39 |
| 40.60 | 36 |
| 70.46 | 30 |
| 54.97 | 27 |
| 70.61 | 18 |
| 40.50 | 18 |
| 55.10 | 10 |
| 73.73 | 6 |
| 60.36 | 6 |

Record 4
# Tm2Al2Fe15
Computed powder diffraction line list, Cu Kα (λ = 1.5418 Å). Input: the PBE geometry in Alexandria.
Neutral-atom scattering factors, no anomalous dispersion.

Cell lengths 6.358, 6.358, 6.358 Å; angles 81.70, 81.70, 81.70 degrees
Element x y z (fractional)
Tm1 0.153 0.153 0.153
Tm2 0.847 0.847 0.847
Al1 0.398 0.398 0.398
Al2 0.602 0.602 0.602
Fe1 0.000 0.500 0.500
Fe2 0.158 0.158 0.660
Fe3 0.158 0.660 0.158
Fe4 0.196 0.500 0.804
Fe5 0.196 0.804 0.500
Fe6 0.340 0.842 0.842
Fe7 0.500 0.000 0.500
Fe8 0.500 0.196 0.804
Fe9 0.500 0.500 0.000
Fe10 0.500 0.804 0.196
Fe11 0.660 0.158 0.158
Fe12 0.804 0.196 0.500
Fe13 0.804 0.500 0.196
Fe14 0.842 0.340 0.842
Fe15 0.842 0.842 0.340

The 10 most intense peaks (2θ = 10–90°), most intense first:
| Position (°2θ) | I (rel.) |
| --- | --- |
| 43.50 | 100 |
| 30.37 | 23 |
| 37.46 | 19 |
| 63.20 | 17 |
| 38.13 | 12 |
| 44.11 | 11 |
| 71.77 | 10 |
| 79.91 | 9 |
| 14.19 | 9 |
| 48.96 | 9 |